(1)
# BN
Computed powder diffractogram, Cu Ka. Input: a PBE-relaxed structure.
Kinematic intensities with the Lorentz-polarization factor, no thermal factor.

Top 4 peaks for 10° ≤ 2θ ≤ 90°, in order of rising 2θ:
two_theta	I (rel.)
43.2	1000
50.3	49
73.9	371
89.7	229

Cell and atoms:
```
data_BN
_symmetry_space_group_name_H-M 'F -4 3 m'
_symmetry_Int_Tables_number 216
_symmetry_space_group_name_Hall 'F -4 2 3'
_cell_length_a 3.626
_cell_length_b 3.626
_cell_length_c 3.626
_cell_angle_alpha 90.00
_cell_angle_beta 90.00
_cell_angle_gamma 90.00
loop_
_atom_site_label
_atom_site_fract_x
_atom_site_fract_y
_atom_site_fract_z
_atom_site_occupancy
B1 0.000 0.000 0.000 1
N1 0.250 0.250 0.750 1
```

(2)
# B4N3
Computed powder diffractogram, Cu Ka. Input: a PBE-relaxed structure.
Kinematic intensities with the Lorentz-polarization factor, no thermal factor.

Top 10 peaks for 10° ≤ 2θ ≤ 90°, in order of rising 2θ:
two_theta	I (rel.)
27.7	796
39.5	565
44.4	205
48.9	1000
57.1	55
64.6	66
71.7	280
75.1	13
78.4	380
85.1	225

Cell and atoms:
```
data_B4N3
_symmetry_space_group_name_H-M 'P m -3 n'
_symmetry_Int_Tables_number 223
_symmetry_space_group_name_Hall '-P 4n 2 3'
_cell_length_a 4.562
_cell_length_b 4.562
_cell_length_c 4.562
_cell_angle_alpha 90.00
_cell_angle_beta 90.00
_cell_angle_gamma 90.00
loop_
_atom_site_label
_atom_site_fract_x
_atom_site_fract_y
_atom_site_fract_z
_atom_site_occupancy
B1 0.000 0.000 0.000 1
B2 0.000 0.250 0.500 1
N1 0.000 0.500 0.250 1
```

(3)
# BN
Computed powder diffractogram, Cu Ka. Input: a PBE-relaxed structure.
Kinematic intensities with the Lorentz-polarization factor, no thermal factor.

Top 12 peaks for 10° ≤ 2θ ≤ 90°, in order of rising 2θ:
two_theta	I (rel.)
22.9	1000
41.5	40
43.2	139
46.7	86
47.9	46
55.1	52
72.9	16
75.0	16
75.7	14
76.9	54
80.3	24
86.0	40

Cell and atoms:
```
data_BN
_symmetry_space_group_name_H-M 'F m m 2'
_symmetry_Int_Tables_number 42
_symmetry_space_group_name_Hall 'F 2 -2'
_cell_length_a 2.513
_cell_length_b 7.783
_cell_length_c 4.350
_cell_angle_alpha 90.00
_cell_angle_beta 90.00
_cell_angle_gamma 90.00
loop_
_atom_site_label
_atom_site_fract_x
_atom_site_fract_y
_atom_site_fract_z
_atom_site_occupancy
B1 0.000 0.000 0.000 1
N1 0.000 0.000 0.667 1
```

(4)
# BN
Computed powder diffractogram, Cu Ka. Input: a PBE-relaxed structure.
Kinematic intensities with the Lorentz-polarization factor, no thermal factor.

Top 11 peaks for 10° ≤ 2θ ≤ 90°, in order of rising 2θ:
two_theta	I (rel.)
22.8	1000
41.5	30
43.2	156
46.6	86
47.9	35
55.1	59
64.2	11
72.9	16
75.0	18
75.7	42
80.3	71

Cell and atoms:
```
data_BN
_symmetry_space_group_name_H-M 'P -6 m 2'
_symmetry_Int_Tables_number 187
_symmetry_space_group_name_Hall 'P -6 2'
_cell_length_a 2.5124
_cell_length_b 2.5124
_cell_length_c 7.7886
_cell_angle_alpha 90.00
_cell_angle_beta 90.00
_cell_angle_gamma 120.00
loop_
_atom_site_label
_atom_site_fract_x
_atom_site_fract_y
_atom_site_fract_z
_atom_site_occupancy
B1 0.0000 0.0000 0.0000 1
B2 0.3333 0.6667 0.5000 1
N1 0.3333 0.6667 0.0000 1
N2 0.6667 0.3333 0.5000 1
```